Theoretical powder XRD pattern of Ag3BO3 for λ = 1.5418 Å (Cu Kα), from a DFT-relaxed cell (GGA-PBE, the Materials Project).
Kinematic intensities with the Lorentz-polarization factor, no thermal factor.

Crystal structure
Unit cell a=7.4171 b=7.4171 c=7.4171 alpha=84.55 beta=84.55 gamma=84.55
Atoms (fractional coordinates):
Ag1 0.1194 0.6256 0.1280
Ag2 0.1256 0.6194 0.6280
Ag3 0.1280 0.1194 0.6256
Ag4 0.3720 0.8744 0.3806
Ag5 0.3744 0.8720 0.8806
Ag6 0.3806 0.3720 0.8744
Ag7 0.6194 0.6280 0.1256
Ag8 0.6256 0.1280 0.1194
Ag9 0.6280 0.1256 0.6194
Ag10 0.8720 0.8806 0.3744
Ag11 0.8744 0.3806 0.3720
Ag12 0.8806 0.3744 0.8720
B1 0.1243 0.1243 0.1243
B2 0.3757 0.3757 0.3757
B3 0.6243 0.6243 0.6243
B4 0.8757 0.8757 0.8757
O1 0.0182 0.8698 0.7402
O2 0.1302 0.2598 0.9818
O3 0.2402 0.3698 0.5182
O4 0.2598 0.9818 0.1302
O5 0.3698 0.5182 0.2402
O6 0.4818 0.7598 0.6302
O7 0.5182 0.2402 0.3698
O8 0.6302 0.4818 0.7598
O9 0.7402 0.0182 0.8698
O10 0.7598 0.6302 0.4818
O11 0.8698 0.7402 0.0182
O12 0.9818 0.1302 0.2598

Most intense lines, 10° ≤ 2θ ≤ 90°, in order of falling intensity:
32.9 deg, d = 2.721 Å, intensity 100; 36.0 deg, d = 2.495 Å, intensity 64; 49.6 deg, d = 1.839 Å, intensity 26; 62.8 deg, d = 1.480 Å, intensity 25; 17.8 deg, d = 4.990 Å, intensity 24; 56.7 deg, d = 1.623 Å, intensity 19; 64.7 deg, d = 1.440 Å, intensity 14; 37.7 deg, d = 2.389 Å, intensity 13; 31.0 deg, d = 2.881 Å, intensity 12; 80.4 deg, d = 1.195 Å, intensity 12; 85.7 deg, d = 1.134 Å, intensity 12; 45.9 deg, d = 1.978 Å, intensity 9